(1)
This entry pairs a crystal structure of Cs3NaHg6 with its calculated powder diffraction line list. Radiation: Cu Ka. Structure: a structure optimized by DFT (GGA-PBE).
No peak broadening, texture or thermal motion is included.

Principal peaks in the range 10° ≤ 2θ ≤ 80°, in order of rising 2θ:
d/Å	Position (°2θ)	Rel. int.
6.072	14.6	40
4.115	21.6	42
3.074	29.1	100
3.036	29.4	44
2.822	31.7	27
2.694	33.3	23
2.624	34.2	25
2.443	36.8	28
1.662	55.3	23
1.541	60.0	27

Atomic structure:
```
data_Cs3NaHg6
_symmetry_space_group_name_H-M 'P 1'
_symmetry_Int_Tables_number 1
_symmetry_space_group_name_Hall 'P 1'
_cell_length_a 8.552
_cell_length_b 8.552
_cell_length_c 8.552
_cell_angle_alpha 112.90
_cell_angle_beta 112.90
_cell_angle_gamma 112.90
loop_
_atom_site_label
_atom_site_fract_x
_atom_site_fract_y
_atom_site_fract_z
Cs1 0.170 0.170 0.660
Cs2 0.170 0.660 0.170
Cs3 0.660 0.170 0.170
Na1 0.223 0.223 0.223
Hg1 0.281 0.617 0.617
Hg2 0.617 0.281 0.617
Hg3 0.617 0.617 0.281
Hg4 0.740 0.740 0.977
Hg5 0.740 0.977 0.740
Hg6 0.977 0.740 0.740
```

(2)
This entry pairs a crystal structure of MgAlCu2 with its calculated powder diffraction line list. Radiation: Cu Ka. Structure: a structure optimized by DFT (GGA-PBE).
No peak broadening, texture or thermal motion is included.

Principal peaks in the range 10° ≤ 2θ ≤ 80°, in order of rising 2θ:
d/Å	Position (°2θ)	Rel. int.
6.670	13.3	6
3.335	26.7	15
2.937	30.4	25
2.204	40.9	100
2.077	43.6	44
1.763	51.9	9
1.667	55.1	8
1.469	63.3	14
1.300	72.7	13
1.222	78.2	26

Atomic structure:
```
data_MgAlCu2
_symmetry_space_group_name_H-M 'P 1'
_symmetry_Int_Tables_number 1
_symmetry_space_group_name_Hall 'P 1'
_cell_length_a 2.937
_cell_length_b 2.937
_cell_length_c 6.670
_cell_angle_alpha 90.00
_cell_angle_beta 90.00
_cell_angle_gamma 90.00
loop_
_atom_site_label
_atom_site_fract_x
_atom_site_fract_y
_atom_site_fract_z
Mg1 0.000 0.000 0.000
Al1 0.000 0.000 0.500
Cu1 0.500 0.500 0.274
Cu2 0.500 0.500 0.726
```

(3)
This entry pairs a crystal structure of Pr5Al2Sn2 with its calculated powder diffraction line list. Radiation: Cu Ka. Structure: a structure optimized by DFT (GGA-PBE).
No peak broadening, texture or thermal motion is included.

Principal peaks in the range 10° ≤ 2θ ≤ 80°, in order of rising 2θ:
d/Å	Position (°2θ)	Rel. int.
3.733	23.8	63
3.617	24.6	50
3.059	29.2	94
2.942	30.4	99
2.911	30.7	100
2.897	30.9	91
2.841	31.5	73
2.746	32.6	73
2.608	34.4	59
2.587	34.7	56

Atomic structure:
```
data_Pr5Al2Sn2
_symmetry_space_group_name_H-M 'P 1'
_symmetry_Int_Tables_number 1
_symmetry_space_group_name_Hall 'P 1'
_cell_length_a 9.126
_cell_length_b 9.126
_cell_length_c 8.279
_cell_angle_alpha 90.00
_cell_angle_beta 90.00
_cell_angle_gamma 54.54
loop_
_atom_site_label
_atom_site_fract_x
_atom_site_fract_y
_atom_site_fract_z
Pr1 0.000 0.000 0.000
Pr2 0.042 0.681 0.676
Pr3 0.181 0.542 0.176
Pr4 0.319 0.958 0.676
Pr5 0.458 0.819 0.176
Pr6 0.500 0.500 0.500
Pr7 0.542 0.181 0.824
Pr8 0.681 0.042 0.324
Pr9 0.819 0.458 0.824
Pr10 0.958 0.319 0.324
Al1 0.113 0.887 0.386
Al2 0.387 0.613 0.886
Al3 0.613 0.387 0.114
Al4 0.887 0.113 0.614
Sn1 0.208 0.208 0.000
Sn2 0.292 0.292 0.500
Sn3 0.708 0.708 0.500
Sn4 0.792 0.792 0.000
```

(4)
This entry pairs a crystal structure of Tm4PdPb with its calculated powder diffraction line list. Radiation: Cu Ka. Structure: a structure optimized by DFT (GGA-PBE).
No peak broadening, texture or thermal motion is included.

Principal peaks in the range 10° ≤ 2θ ≤ 80°, in order of rising 2θ:
d/Å	Position (°2θ)	Rel. int.
2.942	30.4	14
2.870	31.2	100
2.617	34.3	21
2.579	34.8	55
2.572	34.9	25
2.460	36.5	39
2.338	38.5	17
1.732	52.8	14
1.672	54.9	14
1.470	63.2	13

Atomic structure:
```
data_Tm4PdPb
_symmetry_space_group_name_H-M 'P 1'
_symmetry_Int_Tables_number 1
_symmetry_space_group_name_Hall 'P 1'
_cell_length_a 8.100
_cell_length_b 8.100
_cell_length_c 5.873
_cell_angle_alpha 102.27
_cell_angle_beta 102.27
_cell_angle_gamma 113.43
loop_
_atom_site_label
_atom_site_fract_x
_atom_site_fract_y
_atom_site_fract_z
Tm1 0.063 0.710 0.930
Tm2 0.210 0.360 0.661
Tm3 0.290 0.937 0.570
Tm4 0.360 0.210 0.161
Tm5 0.640 0.790 0.839
Tm6 0.710 0.063 0.430
Tm7 0.790 0.640 0.339
Tm8 0.937 0.290 0.070
Pd1 0.001 0.999 0.750
Pd2 0.999 0.001 0.250
Pb1 0.375 0.625 0.250
Pb2 0.625 0.375 0.750
```

(5)
This entry pairs a crystal structure of CaAc2Te4 with its calculated powder diffraction line list. Radiation: Cu Ka. Structure: a structure optimized by DFT (GGA-PBE).
No peak broadening, texture or thermal motion is included.

Principal peaks in the range 10° ≤ 2θ ≤ 80°, in order of rising 2θ:
d/Å	Position (°2θ)	Rel. int.
7.026	12.6	17
4.069	21.8	19
3.166	28.2	37
3.115	28.7	100
2.663	33.7	58
2.634	34.0	34
2.209	40.8	14
2.115	42.8	15
2.016	45.0	15
1.599	57.7	24

Atomic structure:
```
data_CaAc2Te4
_symmetry_space_group_name_H-M 'P 1'
_symmetry_Int_Tables_number 1
_symmetry_space_group_name_Hall 'P 1'
_cell_length_a 8.580
_cell_length_b 8.580
_cell_length_c 8.580
_cell_angle_alpha 109.98
_cell_angle_beta 109.98
_cell_angle_gamma 108.45
loop_
_atom_site_label
_atom_site_fract_x
_atom_site_fract_y
_atom_site_fract_z
Ca1 0.000 0.000 0.000
Ca2 0.750 0.250 0.500
Ac1 0.250 0.625 0.125
Ac2 0.375 0.500 0.625
Ac3 0.500 0.125 0.875
Ac4 0.875 0.750 0.375
Te1 0.118 0.225 0.745
Te2 0.123 0.730 0.755
Te3 0.270 0.025 0.393
Te4 0.480 0.373 0.255
Te5 0.627 0.882 0.107
Te6 0.632 0.877 0.607
Te7 0.775 0.520 0.893
Te8 0.975 0.368 0.245
```

(6)
This entry pairs a crystal structure of La8GeOs3Br4 with its calculated powder diffraction line list. Radiation: Cu Ka. Structure: a structure optimized by DFT (GGA-PBE).
No peak broadening, texture or thermal motion is included.

Principal peaks in the range 10° ≤ 2θ ≤ 80°, in order of rising 2θ:
d/Å	Position (°2θ)	Rel. int.
7.785	11.4	32
3.126	28.6	100
2.478	36.3	16
2.292	39.3	30
2.136	42.3	38
1.842	49.5	10
1.764	51.8	19
1.563	59.1	9
1.360	69.1	15
1.261	75.3	9

Atomic structure:
```
data_La8GeOs3Br4
_symmetry_space_group_name_H-M 'P 1'
_symmetry_Int_Tables_number 1
_symmetry_space_group_name_Hall 'P 1'
_cell_length_a 9.217
_cell_length_b 9.217
_cell_length_c 9.217
_cell_angle_alpha 55.24
_cell_angle_beta 55.24
_cell_angle_gamma 55.24
loop_
_atom_site_label
_atom_site_fract_x
_atom_site_fract_y
_atom_site_fract_z
La1 0.214 0.740 0.740
La2 0.235 0.235 0.235
La3 0.260 0.260 0.786
La4 0.260 0.786 0.260
La5 0.740 0.214 0.740
La6 0.740 0.740 0.214
La7 0.765 0.765 0.765
La8 0.786 0.260 0.260
Ge1 0.500 0.500 0.500
Os1 0.000 0.000 0.500
Os2 0.000 0.500 0.000
Os3 0.500 0.000 0.000
Br1 0.000 0.000 0.000
Br2 0.000 0.500 0.500
Br3 0.500 0.000 0.500
Br4 0.500 0.500 0.000
```

(7)
This entry pairs a crystal structure of PrZrSb3 with its calculated powder diffraction line list. Radiation: Cu Ka. Structure: a structure optimized by DFT (GGA-PBE).
No peak broadening, texture or thermal motion is included.

Principal peaks in the range 10° ≤ 2θ ≤ 80°, in order of rising 2θ:
d/Å	Position (°2θ)	Rel. int.
3.208	27.8	41
2.911	30.7	56
2.892	30.9	81
2.722	32.9	100
2.626	34.1	26
2.612	34.3	24
2.429	37.0	25
2.268	39.7	66
1.406	66.5	23
1.401	66.8	34

Atomic structure:
```
data_PrZrSb3
_symmetry_space_group_name_H-M 'P 1'
_symmetry_Int_Tables_number 1
_symmetry_space_group_name_Hall 'P 1'
_cell_length_a 13.610
_cell_length_b 6.389
_cell_length_c 6.440
_cell_angle_alpha 90.00
_cell_angle_beta 90.00
_cell_angle_gamma 90.00
loop_
_atom_site_label
_atom_site_fract_x
_atom_site_fract_y
_atom_site_fract_z
Pr1 0.181 0.011 0.250
Pr2 0.181 0.489 0.750
Pr3 0.819 0.511 0.250
Pr4 0.819 0.989 0.750
Zr1 0.410 0.750 0.000
Zr2 0.410 0.750 0.500
Zr3 0.590 0.250 0.000
Zr4 0.590 0.250 0.500
Sb1 0.003 0.750 0.000
Sb2 0.003 0.750 0.500
Sb3 0.264 0.505 0.250
Sb4 0.264 0.995 0.750
Sb5 0.419 0.127 0.250
Sb6 0.419 0.373 0.750
Sb7 0.581 0.627 0.250
Sb8 0.581 0.873 0.750
Sb9 0.736 0.005 0.250
Sb10 0.736 0.495 0.750
Sb11 0.997 0.250 0.000
Sb12 0.997 0.250 0.500
```